No. 1
The following is a computed powder diffractogram of CaTi2TcO8. It was derived from DFT lattice parameters and positions (GGA-PBE), using copper Kα.
Lines closer than 0.1° are merged.

Cell and atoms:
```
data_CaTi2TcO8
_chemical_formula_sum 'Ca1 Ti2 Tc1 O8'
_symmetry_space_group_name_H-M 'P 1'
_symmetry_Int_Tables_number 1
_cell_length_a 4.845
_cell_length_b 4.845
_cell_length_c 6.669
_cell_angle_alpha 95.50
_cell_angle_beta 95.50
_cell_angle_gamma 81.83
loop_
_symmetry_equiv_pos_as_xyz
'x,y,z'
loop_
_atom_site_label
_atom_site_type_symbol
_atom_site_fract_x
_atom_site_fract_y
_atom_site_fract_z
Ca1 Ca 0.000 0.000 0.000
Ti1 Ti 0.457 0.457 0.781
Ti2 Ti 0.543 0.543 0.219
Tc1 Tc 0.000 0.000 0.500
O1 O 0.211 0.777 0.714
O2 O 0.223 0.789 0.286
O3 O 0.251 0.251 0.550
O4 O 0.328 0.328 0.998
O5 O 0.672 0.672 0.002
O6 O 0.749 0.749 0.450
O7 O 0.777 0.211 0.714
O8 O 0.789 0.223 0.286
```

Main lines, by angle (10° ≤ 2θ ≤ 80°):
| Position (°2θ) | d [Å] | I (rel.) |
| --- | --- | --- |
| 22.0 | 4.037 | 78 |
| 24.5 | 3.631 | 100 |
| 28.1 | 3.173 | 72 |
| 31.6 | 2.833 | 76 |
| 34.2 | 2.619 | 52 |
| 39.3 | 2.290 | 27 |
| 45.8 | 1.980 | 19 |
| 51.6 | 1.772 | 29 |
| 52.0 | 1.759 | 25 |
| 53.8 | 1.704 | 20 |

***

No. 2
The following is a computed powder diffractogram of KNpCdCl6. It was derived from DFT lattice parameters and positions (GGA-PBE), using copper Kα.
Lines closer than 0.1° are merged.

Cell and atoms:
```
data_KNpCdCl6
_chemical_formula_sum 'K2 Np2 Cd2 Cl12'
_symmetry_space_group_name_H-M 'P 1'
_symmetry_Int_Tables_number 1
_cell_length_a 7.089
_cell_length_b 7.089
_cell_length_c 13.621
_cell_angle_alpha 90.00
_cell_angle_beta 90.00
_cell_angle_gamma 120.00
loop_
_symmetry_equiv_pos_as_xyz
'x,y,z'
loop_
_atom_site_label
_atom_site_type_symbol
_atom_site_fract_x
_atom_site_fract_y
_atom_site_fract_z
K1 K 0.000 0.000 0.000
K2 K 0.000 0.000 0.500
Np1 Np 0.333 0.667 0.250
Np2 Np 0.667 0.333 0.750
Cd1 Cd 0.333 0.667 0.750
Cd2 Cd 0.667 0.333 0.250
Cl1 Cl 0.007 0.372 0.639
Cl2 Cl 0.007 0.635 0.861
Cl3 Cl 0.365 0.372 0.861
Cl4 Cl 0.365 0.993 0.639
Cl5 Cl 0.372 0.007 0.139
Cl6 Cl 0.372 0.365 0.361
Cl7 Cl 0.628 0.635 0.639
Cl8 Cl 0.628 0.993 0.861
Cl9 Cl 0.635 0.007 0.361
Cl10 Cl 0.635 0.628 0.139
Cl11 Cl 0.993 0.365 0.139
Cl12 Cl 0.993 0.628 0.361
```

Main lines, by angle (10° ≤ 2θ ≤ 80°):
| Position (°2θ) | d [Å] | I (rel.) |
| --- | --- | --- |
| 13.0 | 6.811 | 98 |
| 14.4 | 6.139 | 50 |
| 15.8 | 5.597 | 28 |
| 19.5 | 4.560 | 100 |
| 25.1 | 3.544 | 44 |
| 28.4 | 3.144 | 94 |
| 36.6 | 2.456 | 100 |
| 41.1 | 2.196 | 30 |
| 44.3 | 2.046 | 39 |
| 47.6 | 1.912 | 30 |

***

No. 3
The following is a computed powder diffractogram of LiBiBr5. It was derived from DFT lattice parameters and positions (GGA-PBE), using copper Kα.
Lines closer than 0.1° are merged.

Cell and atoms:
```
data_LiBiBr5
_chemical_formula_sum 'Li2 Bi2 Br10'
_symmetry_space_group_name_H-M 'P 1'
_symmetry_Int_Tables_number 1
_cell_length_a 7.051
_cell_length_b 7.051
_cell_length_c 11.318
_cell_angle_alpha 111.17
_cell_angle_beta 111.17
_cell_angle_gamma 73.33
loop_
_symmetry_equiv_pos_as_xyz
'x,y,z'
loop_
_atom_site_label
_atom_site_type_symbol
_atom_site_fract_x
_atom_site_fract_y
_atom_site_fract_z
Li1 Li 0.090 0.910 0.750
Li2 Li 0.910 0.090 0.250
Bi1 Bi 0.000 0.500 0.000
Bi2 Bi 0.500 0.000 0.500
Br1 Br 0.151 0.310 0.496
Br2 Br 0.180 0.609 0.856
Br3 Br 0.222 0.778 0.250
Br4 Br 0.310 0.151 0.996
Br5 Br 0.391 0.820 0.644
Br6 Br 0.609 0.180 0.356
Br7 Br 0.690 0.849 0.004
Br8 Br 0.778 0.222 0.750
Br9 Br 0.820 0.391 0.144
Br10 Br 0.849 0.690 0.504
```

Main lines, by angle (10° ≤ 2θ ≤ 80°):
| Position (°2θ) | d [Å] | I (rel.) |
| --- | --- | --- |
| 14.0 | 6.340 | 77 |
| 17.6 | 5.052 | 100 |
| 18.3 | 4.850 | 69 |
| 18.4 | 4.817 | 75 |
| 21.1 | 4.210 | 67 |
| 30.1 | 2.966 | 90 |
| 31.7 | 2.824 | 61 |
| 33.3 | 2.694 | 74 |
| 35.4 | 2.537 | 55 |
| 42.8 | 2.112 | 87 |

***

No. 4
The following is a computed powder diffractogram of La5TbPm. It was derived from DFT lattice parameters and positions (GGA-PBE), using copper Kα.
Lines closer than 0.1° are merged.

Cell and atoms:
```
data_La5TbPm
_chemical_formula_sum 'La10 Tb2 Pm2'
_symmetry_space_group_name_H-M 'P 1'
_symmetry_Int_Tables_number 1
_cell_length_a 9.072
_cell_length_b 9.072
_cell_length_c 11.033
_cell_angle_alpha 123.39
_cell_angle_beta 123.39
_cell_angle_gamma 44.01
loop_
_symmetry_equiv_pos_as_xyz
'x,y,z'
loop_
_atom_site_label
_atom_site_type_symbol
_atom_site_fract_x
_atom_site_fract_y
_atom_site_fract_z
La1 La 0.011 0.989 0.750
La2 La 0.078 0.573 0.909
La3 La 0.166 0.655 0.408
La4 La 0.345 0.834 0.092
La5 La 0.427 0.922 0.591
La6 La 0.573 0.078 0.409
La7 La 0.655 0.166 0.908
La8 La 0.834 0.345 0.592
La9 La 0.922 0.427 0.091
La10 La 0.989 0.011 0.250
Tb1 Tb 0.488 0.512 0.750
Tb2 Tb 0.512 0.488 0.250
Pm1 Pm 0.000 0.500 0.500
Pm2 Pm 0.500 0.000 0.000
```

Main lines, by angle (10° ≤ 2θ ≤ 80°):
| Position (°2θ) | d [Å] | I (rel.) |
| --- | --- | --- |
| 27.6 | 3.227 | 64 |
| 29.4 | 3.037 | 61 |
| 29.9 | 2.987 | 100 |
| 30.9 | 2.891 | 70 |
| 31.2 | 2.871 | 96 |
| 31.5 | 2.839 | 61 |
| 32.6 | 2.750 | 33 |
| 33.2 | 2.699 | 84 |
| 34.2 | 2.620 | 39 |
| 49.7 | 1.834 | 29 |